Diffraction record for Sc2BeB6Os. The powder XRD pattern is theoretical, not measured: it uses a PBE-relaxed structure and Cu Kα (weighted mean of Kα1 and Kα2).
Kinematic intensities with the Lorentz-polarization factor, no thermal factor.

a = 10.7667 Å, b = 10.7667 Å, c = 10.7667 Å
α = 26.34°, β = 26.34°, γ = 26.34°
Positions (direct):
Sc: 0.1301 0.1301 0.1301
Sc: 0.2824 0.2824 0.2824
Sc: 0.7176 0.7176 0.7176
Sc: 0.8699 0.8699 0.8699
Be: 0.0000 0.0000 0.0000
Be: 0.5000 0.5000 0.5000
B: 0.0197 0.6793 0.6793
B: 0.1688 0.1688 0.8237
B: 0.1688 0.8237 0.1688
B: 0.1763 0.8312 0.8312
B: 0.3207 0.3207 0.9803
B: 0.3207 0.9803 0.3207
B: 0.6793 0.0197 0.6793
B: 0.6793 0.6793 0.0197
B: 0.8237 0.1688 0.1688
B: 0.8312 0.1763 0.8312
B: 0.8312 0.8312 0.1763
B: 0.9803 0.3207 0.3207
Os: 0.4218 0.4218 0.4218
Os: 0.5782 0.5782 0.5782

The 10 most intense peaks (10 to 80 degrees two-theta), sorted by position:
- 17.1°, rel. 82
- 21.1°, rel. 63
- 25.4°, rel. 23
- 29.1°, rel. 100
- 36.6°, rel. 77
- 40.7°, rel. 50
- 43.3°, rel. 31
- 46.0°, rel. 27
- 47.4°, rel. 37
- 61.4°, rel. 29